Record 1
Diffraction record for NdCrTeO6. The powder diffractogram is theoretical, not measured: it uses a structure optimized by DFT (PBE+U) and Cu Kα, 1.54184 Å.
Kinematic intensities with the Lorentz-polarization factor, no thermal factor.

Main lines, in order of falling intensity (2θ = 5–70°):
- 2θ 26.26, rel. 100
- 2θ 49.83, rel. 40
- 2θ 34.26, rel. 33
- 2θ 43.68, rel. 23
- 2θ 56.65, rel. 23
- 2θ 61.35, rel. 12

Crystal structure
a b c (Å): 5.2344 5.2344 10.2375
angles (deg): 90.00 90.00 120.00
Fractional coordinates of all 18 atoms:
Nd 0.0000 0.0000 0.0000
Nd 0.0000 0.0000 0.5000
Cr 0.3333 0.6667 0.2500
Cr 0.6667 0.3333 0.7500
Te 0.3333 0.6667 0.7500
Te 0.6667 0.3333 0.2500
O 0.0103 0.3724 0.8569
O 0.0103 0.6379 0.6431
O 0.3621 0.3724 0.6431
O 0.3621 0.9897 0.8569
O 0.3724 0.0103 0.3569
O 0.3724 0.3621 0.1431
O 0.6276 0.6379 0.8569
O 0.6276 0.9897 0.6431
O 0.6379 0.0103 0.1431
O 0.6379 0.6276 0.3569
O 0.9897 0.3621 0.3569
O 0.9897 0.6276 0.1431

***

Record 2
Diffraction record for MgVF5. The powder diffractogram is theoretical, not measured: it uses a structure optimized by DFT (PBE+U) and Cu Kα, 1.54184 Å.
Kinematic intensities with the Lorentz-polarization factor, no thermal factor.

Main lines, in order of falling intensity (2θ = 5–70°):
- 2θ 27.59, rel. 100
- 2θ 22.98, rel. 88
- 2θ 50.14, rel. 41
- 2θ 46.96, rel. 35
- 2θ 28.68, rel. 35
- 2θ 18.29, rel. 23

Crystal structure
a b c (Å): 5.3245 5.3245 7.5666
angles (deg): 111.14 111.14 71.54
Fractional coordinates of all 14 atoms:
Mg 0.0278 0.9722 0.7500
Mg 0.9722 0.0278 0.2500
V 0.5000 0.5000 0.0000
V 0.5000 0.5000 0.5000
F 0.1789 0.7879 0.0531
F 0.2121 0.8211 0.4469
F 0.2252 0.2776 0.3709
F 0.2776 0.2252 0.8709
F 0.3724 0.6276 0.7500
F 0.6276 0.3724 0.2500
F 0.7224 0.7748 0.1291
F 0.7748 0.7224 0.6291
F 0.7879 0.1789 0.5531
F 0.8211 0.2121 0.9469

***

Record 3
Diffraction record for Fe10O9F11. The powder diffractogram is theoretical, not measured: it uses a structure optimized by DFT (PBE+U) and Cu Kα, 1.54184 Å.
Kinematic intensities with the Lorentz-polarization factor, no thermal factor.

Main lines, in order of falling intensity (2θ = 5–70°):
- 2θ 25.72, rel. 100
- 2θ 27.26, rel. 92
- 2θ 34.49, rel. 50
- 2θ 34.62, rel. 50
- 2θ 51.26, rel. 47
- 2θ 52.88, rel. 42

Crystal structure
a b c (Å): 4.7642 4.7655 15.4869
angles (deg): 90.15 90.27 93.26
Fractional coordinates of all 30 atoms:
Fe 0.0000 0.0000 0.0000
Fe 0.0006 0.0008 0.4183
Fe 0.4228 0.5002 0.5176
Fe 0.4361 0.5076 0.9082
Fe 0.4521 0.4669 0.1149
Fe 0.4565 0.4704 0.3072
Fe 0.4805 0.4845 0.7043
Fe 0.9415 0.9485 0.8140
Fe 0.9525 0.9739 0.2097
Fe 0.9730 0.9700 0.6090
O 0.1539 0.7991 0.5086
O 0.1630 0.7864 0.9158
O 0.2572 0.2734 0.2115
O 0.2593 0.2837 0.6125
O 0.2795 0.3045 0.0138
O 0.2793 0.3067 0.4078
O 0.6338 0.6536 0.8094
O 0.6594 0.6753 0.2109
O 0.6600 0.6830 0.6078
F 0.1561 0.7921 0.3109
F 0.1571 0.7921 0.1111
F 0.1589 0.7725 0.7072
F 0.2488 0.2727 0.8091
F 0.6705 0.6962 0.0157
F 0.6700 0.6981 0.4048
F 0.7527 0.1954 0.9166
F 0.7639 0.1714 0.7069
F 0.7683 0.1851 0.5069
F 0.7731 0.1734 0.3116
F 0.7727 0.1737 0.1103

***

Record 4
Diffraction record for YCu3W6O24. The powder diffractogram is theoretical, not measured: it uses a structure optimized by DFT (PBE+U) and Cu Kα, 1.54184 Å.
Kinematic intensities with the Lorentz-polarization factor, no thermal factor.

Main lines, in order of falling intensity (2θ = 5–70°):
- 2θ 17.89, rel. 100
- 2θ 26.54, rel. 97
- 2θ 15.56, rel. 91
- 2θ 30.21, rel. 64
- 2θ 31.41, rel. 63
- 2θ 29.21, rel. 57

Crystal structure
a b c (Å): 6.1358 6.3049 13.1950
angles (deg): 102.84 92.16 110.99
Fractional coordinates of all 34 atoms:
Y 0.0000 0.0000 0.0000
Cu 0.1633 0.4989 0.8315
Cu 0.4990 0.5001 0.4999
Cu 0.8349 0.5002 0.1680
W 0.0866 0.6816 0.4164
W 0.2595 0.3424 0.2622
W 0.4172 0.6835 0.0869
W 0.5812 0.3175 0.9132
W 0.7394 0.6571 0.7375
W 0.9113 0.3180 0.5830
O 0.0222 0.6796 0.6914
O 0.0766 0.2810 0.6990
O 0.1446 0.5151 0.1555
O 0.1461 0.0607 0.1626
O 0.1857 0.4855 0.5088
O 0.1979 0.9662 0.4974
O 0.2357 0.7236 0.9752
O 0.3061 0.3127 0.9784
O 0.3617 0.6828 0.3560
O 0.4234 0.2884 0.3679
O 0.4586 0.0345 0.8327
O 0.4729 0.5057 0.8232
O 0.5253 0.4935 0.1762
O 0.5410 0.9652 0.1685
O 0.5750 0.7117 0.6321
O 0.6365 0.3170 0.6435
O 0.6915 0.6886 0.0212
O 0.7618 0.2779 0.0253
O 0.7990 0.0333 0.5016
O 0.8123 0.5145 0.4909
O 0.8527 0.9381 0.8375
O 0.8538 0.4839 0.8442
O 0.9212 0.7176 0.3003
O 0.9766 0.3197 0.3083

***

Record 5
Diffraction record for MgMn6O11F. The powder diffractogram is theoretical, not measured: it uses a structure optimized by DFT (PBE+U) and Cu Kα, 1.54184 Å.
Kinematic intensities with the Lorentz-polarization factor, no thermal factor.

Main lines, in order of falling intensity (2θ = 5–70°):
- 2θ 23.64, rel. 100
- 2θ 27.83, rel. 68
- 2θ 35.31, rel. 46
- 2θ 35.99, rel. 36
- 2θ 55.19, rel. 28
- 2θ 28.40, rel. 26

Crystal structure
a b c (Å): 6.4277 2.9397 11.5463
angles (deg): 90.00 102.11 90.00
Fractional coordinates of all 19 atoms:
Mg 0.0000 0.0000 0.0000
Mn 0.1098 0.0000 0.7910
Mn 0.3937 0.5000 0.2040
Mn 0.4920 0.0000 0.4873
Mn 0.6021 0.5000 0.8023
Mn 0.8837 0.0000 0.2077
Mn 0.9963 0.5000 0.4980
O 0.0540 0.5000 0.6828
O 0.1453 0.5000 0.9133
O 0.1868 0.0000 0.1727
O 0.1960 0.0000 0.5038
O 0.4121 0.0000 0.8045
O 0.4492 0.5000 0.3819
O 0.5799 0.0000 0.1914
O 0.8000 0.0000 0.5000
O 0.8084 0.0000 0.8293
O 0.8513 0.5000 0.0854
O 0.9358 0.5000 0.3168
F 0.5446 0.5000 0.6119

***

Record 6
Diffraction record for BaV13O18. The powder diffractogram is theoretical, not measured: it uses a structure optimized by DFT (PBE+U) and Cu Kα, 1.54184 Å.
Kinematic intensities with the Lorentz-polarization factor, no thermal factor.

Main lines, in order of falling intensity (2θ = 5–70°):
- 2θ 42.05, rel. 100
- 2θ 61.24, rel. 31
- 2θ 23.77, rel. 29
- 2θ 60.72, rel. 29
- 2θ 24.98, rel. 22
- 2θ 27.03, rel. 20

Crystal structure
a b c (Å): 8.0171 8.0171 8.0171
angles (deg): 110.73 110.73 110.73
Fractional coordinates of all 32 atoms:
Ba 0.0000 0.0000 0.0000
V 0.0726 0.5633 0.8794
V 0.1206 0.9274 0.4367
V 0.2328 0.6574 0.6009
V 0.3426 0.3991 0.7672
V 0.3991 0.7672 0.3426
V 0.4367 0.1206 0.9274
V 0.5000 0.5000 0.5000
V 0.5633 0.8794 0.0726
V 0.6009 0.2328 0.6574
V 0.6574 0.6009 0.2328
V 0.7672 0.3426 0.3991
V 0.8794 0.0726 0.5633
V 0.9274 0.4367 0.1206
O 0.0520 0.3830 0.5971
O 0.1219 0.7381 0.1740
O 0.1740 0.1219 0.7381
O 0.2275 0.5047 0.3324
O 0.2619 0.8260 0.8781
O 0.3324 0.2275 0.5047
O 0.3830 0.5971 0.0520
O 0.4029 0.9480 0.6170
O 0.4953 0.6676 0.7725
O 0.5047 0.3324 0.2275
O 0.5971 0.0520 0.3830
O 0.6170 0.4029 0.9480
O 0.6676 0.7725 0.4953
O 0.7381 0.1740 0.1219
O 0.7725 0.4953 0.6676
O 0.8260 0.8781 0.2619
O 0.8781 0.2619 0.8260
O 0.9480 0.6170 0.4029

***

Record 7
Diffraction record for MgMn2Fe2O8. The powder diffractogram is theoretical, not measured: it uses a structure optimized by DFT (PBE+U) and Cu Kα, 1.54184 Å.
Kinematic intensities with the Lorentz-polarization factor, no thermal factor.

Main lines, in order of falling intensity (2θ = 5–70°):
- 2θ 24.20, rel. 100
- 2θ 30.01, rel. 93
- 2θ 30.70, rel. 82
- 2θ 36.74, rel. 60
- 2θ 53.62, rel. 55
- 2θ 52.75, rel. 47

Crystal structure
a b c (Å): 4.8518 5.6423 4.9143
angles (deg): 90.00 91.74 90.00
Fractional coordinates of all 13 atoms:
Mg 0.0000 0.0000 0.0000
Mn 0.0000 0.4656 0.0000
Mn 0.0000 0.7282 0.5000
Fe 0.5000 0.2562 0.5000
Fe 0.5000 0.9267 0.0000
O 0.2118 0.7216 0.1739
O 0.2181 0.4865 0.6778
O 0.2583 0.9714 0.6768
O 0.2626 0.2266 0.1605
O 0.7374 0.2266 0.8395
O 0.7417 0.9714 0.3232
O 0.7819 0.4865 0.3222
O 0.7882 0.7216 0.8261